Entry 1:
WS6: theoretical X-ray diffraction stick pattern (Cu Kα, 1.54184 Å), based on a DFT-relaxed cell (PBE, OQMD).

Most intense lines, 2θ = 5–70°, low angle first:
Position (°2θ), intensity
15.99, 100.0
20.23, 25.6
32.18, 9.3
32.31, 22.4
33.08, 34.3
39.19, 14.0
41.23, 9.6
48.69, 10.6
50.87, 11.4
53.93, 11.1

Cell and atoms:
Lattice parameters (Å, degrees): 7.1449 7.1449 12.4549 90.00 90.00 120.00
Space group R-3 (No. 148, hexagonal axes)
Inequivalent atoms, fractional coordinates:
W (0.0000, 0.0000, 0.0000) (multiplicity 3)
S (0.0208, 0.5940, 0.5659) (multiplicity 18)

=====

Entry 2:
ZnS: theoretical X-ray diffraction stick pattern (Cu Kα, 1.54184 Å), based on a DFT-relaxed cell (PBE, OQMD).

Most intense lines, 2θ = 5–70°, low angle first:
Position (°2θ), intensity
28.35, 100.0
28.48, 62.1
28.80, 50.3
33.28, 14.7
47.00, 38.9
47.40, 75.4
48.14, 22.3
56.22, 63.9
56.64, 13.2
68.97, 11.5

Cell and atoms:
Lattice parameters (Å, degrees): 3.8358 3.8358 68.9488 90.00 90.00 120.00
Space group P3m1 (No. 156)
Inequivalent atoms, fractional coordinates:
Zn (0.0000, 0.0000, 0.0000) (multiplicity 1)
Zn (0.0000, 0.0000, 0.1364) (multiplicity 1)
Zn (0.0000, 0.0000, 0.2728) (multiplicity 1)
Zn (0.0000, 0.0000, 0.3637) (multiplicity 1)
Zn (0.0000, 0.0000, 0.5000) (multiplicity 1)
Zn (0.0000, 0.0000, 0.5910) (multiplicity 1)
Zn (0.0000, 0.0000, 0.7273) (multiplicity 1)
Zn (0.0000, 0.0000, 0.8637) (multiplicity 1)
Zn (0.3333, 0.6667, 0.0455) (multiplicity 1)
Zn (0.3333, 0.6667, 0.1819) (multiplicity 1)
Zn (0.3333, 0.6667, 0.3182) (multiplicity 1)
Zn (0.3333, 0.6667, 0.4546) (multiplicity 1)
Zn (0.3333, 0.6667, 0.6364) (multiplicity 1)
Zn (0.3333, 0.6667, 0.7728) (multiplicity 1)
Zn (0.3333, 0.6667, 0.9091) (multiplicity 1)
Zn (0.6667, 0.3333, 0.0910) (multiplicity 1)
Zn (0.6667, 0.3333, 0.2273) (multiplicity 1)
Zn (0.6667, 0.3333, 0.4091) (multiplicity 1)
Zn (0.6667, 0.3333, 0.5455) (multiplicity 1)
Zn (0.6667, 0.3333, 0.6819) (multiplicity 1)
Zn (0.6667, 0.3333, 0.8182) (multiplicity 1)
Zn (0.6667, 0.3333, 0.9546) (multiplicity 1)
S (0.0000, 0.0000, 0.0341) (multiplicity 1)
S (0.0000, 0.0000, 0.1705) (multiplicity 1)
S (0.0000, 0.0000, 0.3069) (multiplicity 1)
S (0.0000, 0.0000, 0.3978) (multiplicity 1)
S (0.0000, 0.0000, 0.5341) (multiplicity 1)
S (0.0000, 0.0000, 0.6250) (multiplicity 1)
S (0.0000, 0.0000, 0.7614) (multiplicity 1)
S (0.0000, 0.0000, 0.8977) (multiplicity 1)
S (0.3333, 0.6667, 0.0796) (multiplicity 1)
S (0.3333, 0.6667, 0.2160) (multiplicity 1)
S (0.3333, 0.6667, 0.3523) (multiplicity 1)
S (0.3333, 0.6667, 0.4887) (multiplicity 1)
S (0.3333, 0.6667, 0.6705) (multiplicity 1)
S (0.3333, 0.6667, 0.8069) (multiplicity 1)
S (0.3333, 0.6667, 0.9432) (multiplicity 1)
S (0.6667, 0.3333, 0.1250) (multiplicity 1)
S (0.6667, 0.3333, 0.2614) (multiplicity 1)
S (0.6667, 0.3333, 0.4432) (multiplicity 1)
S (0.6667, 0.3333, 0.5796) (multiplicity 1)
S (0.6667, 0.3333, 0.7160) (multiplicity 1)
S (0.6667, 0.3333, 0.8523) (multiplicity 1)
S (0.6667, 0.3333, 0.9887) (multiplicity 1)

=====

Entry 3:
ZnS2: theoretical X-ray diffraction stick pattern (Cu Kα, 1.54184 Å), based on a DFT-relaxed cell (PBE, OQMD).

Most intense lines, 2θ = 5–70°, low angle first:
Position (°2θ), intensity
22.05, 100.0
28.84, 25.8
32.93, 29.8
35.21, 17.8
43.15, 74.3
44.98, 19.5
49.45, 14.0
54.32, 40.4
54.76, 15.5
69.06, 10.0

Cell and atoms:
Lattice parameters (Å, degrees): 5.700 5.700 3.686 90.00 90.00 90.00
Space group P4_2/mnm (No. 136)
Inequivalent atoms, fractional coordinates:
Zn (0.000, 0.000, 0.000) (multiplicity 2)
S (0.180, 0.180, 0.500) (multiplicity 4)